1.
Starting from a cell relaxed with PBE, the powder diffraction line list of KFeCl5 was computed for Cu Kα, 1.54184 Å.
Neutral-atom scattering factors, no anomalous dispersion.

Most intense lines, 2θ = 10–90°, sorted by position:
d_spacing, two_theta, I/Imax, hkl
5.852, 15.1, 41, 1 1 -1
5.696, 15.6, 43, 2 0 0
4.642, 19.1, 100, 0 2 0
3.683, 24.2, 28, 3 1 -1
2.982, 30.0, 54, 1 3 0
2.848, 31.4, 35, 4 0 0
2.503, 35.9, 54, 1 1 -3
2.449, 36.7, 22, 3 3 -1
2.427, 37.0, 23, 4 2 0
1.756, 52.1, 20, 3 1 3

Structure:
```
data_KFeCl5
_cell_length_a 12.2086
_cell_length_b 9.2747
_cell_length_c 7.8919
_cell_angle_alpha 90.00
_cell_angle_beta 111.08
_cell_angle_gamma 90.00
_space_group_name_H-M_alt 'C 1 2/c 1'
_space_group_IT_number 15
loop_
_space_group_symop_operation_xyz
'x,y,z'
'-x,-y,-z'
'-x,y,-z+1/2'
'x,-y,z+1/2'
'x+1/2,y+1/2,z'
'-x+1/2,-y+1/2,-z'
'-x+1/2,y+1/2,-z+1/2'
'x+1/2,-y+1/2,z+1/2'
loop_
_atom_site_label
_atom_site_type_symbol
_atom_site_fract_x
_atom_site_fract_y
_atom_site_fract_z
K1 K 0.2500 0.2500 0.0000
Fe1 Fe 0.0000 0.2126 0.2500
Cl1 Cl 0.0000 0.4507 0.2500
Cl2 Cl 0.0209 0.2044 0.5398
Cl3 Cl 0.1768 0.1054 0.3214
```

***

2.
Starting from a cell relaxed with PBE, the powder diffraction line list of BaErTlHg was computed for Cu Kα, 1.54184 Å.
Neutral-atom scattering factors, no anomalous dispersion.

Most intense lines, 2θ = 10–90°, sorted by position:
d_spacing, two_theta, I/Imax, hkl
4.006, 22.2, 2, 2 0 0
2.832, 31.6, 100, 2 2 0
2.313, 38.9, 1, 2 2 2
2.003, 45.3, 19, 4 0 0
1.791, 51.0, 1, 4 2 0
1.635, 56.3, 40, 4 2 2
1.416, 66.0, 12, 4 4 0
1.335, 70.5, 1, 6 0 0
1.267, 75.0, 17, 6 2 0
1.156, 83.6, 4, 4 4 4

Structure:
```
data_BaErTlHg
_cell_length_a 8.0112
_cell_length_b 8.0112
_cell_length_c 8.0112
_cell_angle_alpha 90.00
_cell_angle_beta 90.00
_cell_angle_gamma 90.00
_space_group_name_H-M_alt 'F -4 3 m'
_space_group_IT_number 216
_space_group_name_Hall 'F -4 2 3'
loop_
_atom_site_label
_atom_site_type_symbol
_atom_site_fract_x
_atom_site_fract_y
_atom_site_fract_z
Ba1 Ba 0.0000 0.0000 0.0000
Er1 Er 0.0000 0.0000 0.5000
Tl1 Tl 0.2500 0.2500 0.2500
Hg1 Hg 0.2500 0.2500 0.7500
```

***

3.
Starting from a cell relaxed with PBE, the powder diffraction line list of CsCaAlF6 was computed for Cu Kα, 1.54184 Å.
Neutral-atom scattering factors, no anomalous dispersion.

Most intense lines, 2θ = 10–90°, sorted by position:
d_spacing, two_theta, I/Imax, hkl
3.943, 22.5, 21, 0 2 0
3.750, 23.7, 60, 1 1 2
3.299, 27.0, 66, 1 2 1
3.183, 28.0, 100, 0 1 3
3.148, 28.3, 20, 1 0 3
2.693, 33.3, 20, 2 2 0
2.411, 37.3, 38, 2 1 3
2.098, 43.1, 30, 0 3 3
1.875, 48.6, 36, 2 2 4
1.844, 49.4, 16, 4 0 0

Structure:
```
data_CsCaAlF6
_cell_length_a 7.3756
_cell_length_b 7.8861
_cell_length_c 10.4466
_cell_angle_alpha 90.00
_cell_angle_beta 90.00
_cell_angle_gamma 90.00
_space_group_name_H-M_alt 'I m m a'
_space_group_IT_number 74
_space_group_name_Hall '-I 2b 2'
loop_
_atom_site_label
_atom_site_type_symbol
_atom_site_fract_x
_atom_site_fract_y
_atom_site_fract_z
Cs1 Cs 0.0000 0.2500 0.1076
Ca1 Ca 0.0000 0.0000 0.5000
Al1 Al 0.2500 0.2500 0.7500
F1 F 0.0000 0.2500 0.3986
F2 F 0.0000 0.2500 0.7628
F3 F 0.2373 0.0873 0.6269
```

***

4.
Starting from a cell relaxed with PBE, the powder diffraction line list of Cs6KHg4 was computed for Cu Kα, 1.54184 Å.
Neutral-atom scattering factors, no anomalous dispersion.

Most intense lines, 2θ = 10–90°, sorted by position:
d_spacing, two_theta, I/Imax, hkl
4.843, 18.3, 47, 2 0 1
3.895, 22.8, 53, 2 1 1
3.591, 24.8, 100, 2 0 2
3.505, 25.4, 46, 3 0 1
3.279, 27.2, 84, 2 2 0
2.715, 33.0, 53, 2 0 3
2.394, 37.6, 35, 3 0 3
2.091, 43.3, 24, 4 0 3
1.785, 51.2, 24, 5 2 1
1.763, 51.9, 27, 2 0 5

Structure:
```
data_Cs6KHg4
_cell_length_a 13.1145
_cell_length_b 13.1145
_cell_length_c 9.2718
_cell_angle_alpha 90.00
_cell_angle_beta 90.00
_cell_angle_gamma 120.00
_space_group_name_H-M_alt 'P 63 m c'
_space_group_IT_number 186
_space_group_name_Hall 'P 6c -2c'
loop_
_atom_site_label
_atom_site_type_symbol
_atom_site_fract_x
_atom_site_fract_y
_atom_site_fract_z
Cs1 Cs 0.0605 0.5302 0.0000
Cs2 Cs 0.1337 0.2674 0.3220
K1 K 0.3333 0.6667 0.6162
Hg1 Hg 0.1875 0.3750 0.7366
Hg2 Hg 0.3333 0.6667 0.2471
```